The following is a calculated powder X-ray diffraction pattern of NpTcMoW. It was derived from a cell relaxed with PBE, using Cu Kα X-rays.

Main lines, by angle (10° ≤ 2θ ≤ 90°):
two_theta	d_spacing	I/Imax
27.45	3.249	15
39.21	2.297	100
56.66	1.625	17
64.09	1.453	6
71.07	1.326	35
84.31	1.149	11

Structural model:
Cell: 4.5948 4.5948 4.5948 Å, 60.00 60.00 60.00°
Fractional coordinates of all 4 atoms:
Np1 0.0000 0.0000 0.0000
Tc1 0.2500 0.2500 0.2500
Mo1 0.7500 0.7500 0.7500
W1 0.5000 0.5000 0.5000